The following is a calculated powder diffraction line list of Si2Os. It was derived from a DFT-relaxed cell (GGA-PBE, the Materials Project), using Cu Kα (λ = 1.5418 Å).

Main lines, most intense first (2θ = 10–90°):
| d/Å | I (rel.) |
| --- | --- |
| 3.189 | 100.0 |
| 3.216 | 96.0 |
| 1.919 | 54.3 |
| 2.905 | 31.0 |
| 3.471 | 30.9 |
| 2.503 | 27.4 |
| 1.968 | 26.9 |
| 1.846 | 26.1 |
| 2.059 | 26.0 |
| 2.975 | 25.9 |

Cell and atoms:
```
Si2Os
1.0
5.110 -4.080 0.000
5.110 4.080 0.000
0.000 0.000 8.276
Si Os
16 8
direct
0.075 0.179 0.224 Si
0.094 0.650 0.058 Si
0.150 0.594 0.558 Si
0.179 0.075 0.776 Si
0.321 0.425 0.276 Si
0.350 0.906 0.058 Si
0.406 0.850 0.558 Si
0.425 0.321 0.724 Si
0.575 0.679 0.276 Si
0.594 0.150 0.442 Si
0.650 0.094 0.942 Si
0.679 0.575 0.724 Si
0.821 0.925 0.224 Si
0.850 0.406 0.442 Si
0.906 0.350 0.942 Si
0.925 0.821 0.776 Si
0.189 0.811 0.318 Os
0.215 0.215 0.500 Os
0.285 0.285 0.000 Os
0.311 0.689 0.818 Os
0.689 0.311 0.182 Os
0.715 0.715 0.000 Os
0.785 0.785 0.500 Os
0.811 0.189 0.682 Os
```